Entry 1:
The following is a computed powder diffractogram of Mn29H2. It was derived from a cell relaxed with GGA-PBE, using Cu Kα, 1.54184 Å.
Lines closer than 0.1° are merged.

Most intense lines, 10 to 90 degrees two-theta, most intense first:
d (Å)	Rel. int.
2.046	100
1.851	22
1.181	14
1.703	10
1.772	7
1.182	7
1.227	4
1.701	4
1.253	4
2.170	3
1.228	2
1.159	2

Cell and atoms:
```
31
Lattice="4.3445 -6.1343 0.0000 4.3445 6.1343 0.0000 -4.3352 0.0000 6.1342" Properties=species:S:1:pos:R:3 pbc="T T T"
Mn 0.0000 0.0000 0.0000
Mn -1.2696 1.9634 3.7696
Mn 1.6089 2.2581 0.0040
Mn -0.7590 3.8500 4.9620
Mn 0.7623 1.1828 2.2846
Mn -1.8700 0.0000 5.0393
Mn 3.5777 3.8483 1.1861
Mn 1.3005 2.3421 4.1750
Mn -1.2696 -1.9634 3.7696
Mn -0.2718 1.7674 6.1329
Mn 1.6089 -2.2581 0.0040
Mn 0.7623 -1.1828 2.2846
Mn 2.4618 0.0000 1.0835
Mn 3.0542 1.9570 2.3451
Mn 0.2915 0.0000 4.3686
Mn -0.2718 -1.7674 6.1329
Mn 5.6212 2.3672 1.9612
Mn 6.2254 1.0893 0.0077
Mn -0.7590 -3.8500 4.9620
Mn 2.7394 0.0000 3.8781
Mn 4.6241 0.0000 1.7684
Mn 1.3005 -2.3421 4.1750
Mn 3.0542 -1.9570 2.3451
Mn 6.2254 -1.0893 0.0077
Mn 5.1259 1.1750 3.8485
Mn 3.5777 -3.8483 1.1861
Mn 5.6212 -2.3672 1.9612
Mn 5.1259 -1.1750 3.8485
Mn 7.0850 0.0000 2.2593
H 0.0054 3.3114 3.3131
H 0.0054 -3.3114 3.3131
```


Entry 2:
The following is a computed powder diffractogram of Mn6H3N. It was derived from a cell relaxed with GGA-PBE, using Cu Kα, 1.54184 Å.
Lines closer than 0.1° are merged.

Most intense lines, 10 to 90 degrees two-theta, most intense first:
d (Å)	Rel. int.
2.061	100
2.111	64
2.090	53
2.402	38
2.138	37
2.029	28
2.127	24
2.317	20
1.891	20
1.188	17
2.011	17
1.911	17

Cell and atoms:
```
20
Lattice="4.6348 0.0000 0.0000 0.0000 5.1183 0.0000 -4.5116 0.0000 6.9623" Properties=species:S:1:pos:R:3 pbc="T T T"
Mn -0.7264 0.2153 1.7779
Mn -2.9822 2.3439 5.2591
Mn 0.7699 3.4699 0.5414
Mn -1.4859 4.2076 4.0226
Mn 1.5669 0.9507 0.4984
Mn -0.6889 1.6085 3.9795
Mn 0.8121 3.5099 2.9828
Mn -1.4437 4.1676 6.4639
Mn 1.6091 0.9108 2.9397
Mn -0.6467 1.6484 6.4208
Mn 3.1054 2.7744 1.7032
Mn 0.8496 4.9031 5.1843
H -2.3242 0.6641 5.6983
H -0.0684 1.8951 2.2172
H 0.0616 0.0000 3.4811
H 2.3174 2.5592 0.0000
H 0.1916 3.2232 4.7451
H 2.4474 4.4543 1.2639
N 0.0000 0.0000 0.0000
N -2.2558 2.5592 3.4811
```